Structure and computed powder diffractogram of CsIn3 (a PBE-relaxed structure; λ = 1.5418 Å (Cu Kα)).
Intensities are scaled so that the largest is 100.

Atomic structure:
```
CsIn3
1.0
-3.6044 3.6044 8.5595
3.6044 -3.6044 8.5595
3.6044 3.6044 -8.5595
Cs In
3 9
Cartesian
0.0000 0.0000 0.0000
0.0000 3.6044 2.1773
0.0000 3.6044 6.3822
2.1109 3.6044 -4.7823
1.4936 0.0000 3.7772
3.6044 1.4186 1.8513
1.4186 3.6044 -1.8513
2.1858 0.0000 6.7082
0.0000 0.0000 8.5595
3.6044 2.1109 4.7823
0.0000 2.1858 10.4108
0.0000 1.4936 13.3418
```

Most intense lines, 10 to 90 degrees two-theta, by angle:
- 13.33 deg, I 34
- 24.70 deg, I 41
- 27.21 deg, I 100
- 28.17 deg, I 100
- 28.87 deg, I 33
- 32.48 deg, I 25
- 36.79 deg, I 24
- 40.32 deg, I 36
- 40.97 deg, I 32
- 70.10 deg, I 24

Structure and computed powder diffractogram of Tb8Er6Sn (a PBE-relaxed structure; λ = 1.5418 Å (Cu Kα)).
Intensities are scaled so that the largest is 100.

Atomic structure:
```
Tb8Er6Sn
1.0
12.3966 0.0000 0.0000
-6.1983 10.7358 0.0000
0.0000 0.0000 3.5576
Tb Er Sn
8 6 1
Cartesian
-0.7365 3.2908 0.0000
-2.9801 9.7281 0.0000
2.4817 2.2832 0.0000
0.0000 7.1572 0.0000
6.1983 3.5786 0.0000
3.7166 8.4525 0.0000
9.1784 1.0076 0.0000
6.9348 7.4449 0.0000
-2.5772 6.8201 1.7788
1.5805 5.0937 1.7788
5.2016 1.1781 1.7788
0.9967 9.5576 1.7788
4.6178 5.6420 1.7788
8.7755 3.9156 1.7788
0.0000 0.0000 1.7788
```

Most intense lines, 10 to 90 degrees two-theta, by angle:
- 30.01 deg, I 98
- 30.14 deg, I 84
- 33.50 deg, I 100
- 36.48 deg, I 19
- 38.42 deg, I 30
- 38.53 deg, I 37
- 46.41 deg, I 36
- 58.36 deg, I 27
- 60.64 deg, I 27
- 62.41 deg, I 21

Structure and computed powder diffractogram of Li2MnFe (a PBE-relaxed structure; λ = 1.5418 Å (Cu Kα)).
Intensities are scaled so that the largest is 100.

Atomic structure:
```
Li2MnFe
1.0
-1.3163 2.0653 4.5693
1.3163 -2.0653 4.5693
1.3163 2.0653 -4.5693
Li Mn Fe
2 1 1
Cartesian
0.0000 0.0000 2.2273
0.0000 0.0000 6.9113
0.0000 2.0653 0.0000
1.3163 0.0000 0.0000
```

Most intense lines, 10 to 90 degrees two-theta, by angle:
- 19.43 deg, I 100
- 39.44 deg, I 22
- 40.64 deg, I 28
- 43.84 deg, I 16
- 45.42 deg, I 57
- 48.36 deg, I 16
- 57.92 deg, I 18
- 60.42 deg, I 11
- 75.73 deg, I 11
- 81.69 deg, I 9

Structure and computed powder diffractogram of Ca2PrHg8 (a PBE-relaxed structure; λ = 1.5418 Å (Cu Kα)).
Intensities are scaled so that the largest is 100.

Atomic structure:
```
Ca2PrHg8
1.0
-2.5954 3.9593 7.1173
2.5954 -3.9593 7.1173
2.5954 3.9593 -7.1173
Ca Pr Hg
2 1 8
Cartesian
0.0000 0.0000 2.9656
0.0000 0.0000 11.2690
0.0000 0.0000 7.1173
2.5954 1.5345 -2.0002
0.0000 1.5422 0.0000
2.5954 1.5345 2.0002
2.5954 0.0000 4.9415
0.0000 3.9593 2.1758
0.0000 2.4249 5.1171
0.0000 6.3765 0.0000
0.0000 2.4249 9.1175
```

Most intense lines, 10 to 90 degrees two-theta, by angle:
- 24.01 deg, I 18
- 32.53 deg, I 43
- 34.18 deg, I 100
- 34.56 deg, I 70
- 37.92 deg, I 16
- 49.68 deg, I 23
- 57.18 deg, I 15
- 61.68 deg, I 19
- 67.16 deg, I 18
- 68.56 deg, I 18

Structure and computed powder diffractogram of Sr2NdGaS5 (a PBE-relaxed structure; λ = 1.5418 Å (Cu Kα)).
Intensities are scaled so that the largest is 100.

Atomic structure:
```
Sr2NdGaS5
1.0
2.0026 -9.1697 0.0000
2.0026 9.1697 0.0000
0.0000 0.0000 12.3482
Sr Nd Ga S
4 2 2 10
Cartesian
2.0026 7.0904 6.1741
2.0026 6.9582 1.7690
2.0026 -6.9582 7.9431
2.0026 -7.0904 0.0000
2.0026 5.3531 10.4311
2.0026 -5.3531 4.2570
2.0026 1.0177 3.0716
2.0026 -1.0177 9.2457
2.0026 8.3944 10.5277
2.0026 3.7625 6.1711
2.0026 3.2317 2.2710
2.0026 2.6338 10.1854
2.0026 0.0471 7.2759
2.0026 -0.0471 1.1018
2.0026 -2.6338 4.0113
2.0026 -3.2317 8.4451
2.0026 -3.7625 12.3452
2.0026 -8.3944 4.3536
```

Most intense lines, 10 to 90 degrees two-theta, by angle:
- 17.32 deg, I 24
- 23.69 deg, I 30
- 26.61 deg, I 17
- 27.59 deg, I 34
- 30.12 deg, I 59
- 31.55 deg, I 100
- 36.26 deg, I 54
- 45.28 deg, I 28
- 50.05 deg, I 19
- 55.35 deg, I 21

Structure and computed powder diffractogram of Cs2PmSnO4 (a PBE-relaxed structure; λ = 1.5418 Å (Cu Kα)).
Intensities are scaled so that the largest is 100.

Atomic structure:
```
Cs2PmSnO4
1.0
4.4444 -4.2893 0.0000
4.4444 4.2893 0.0000
-4.2519 0.0000 4.9546
Cs Pm Sn O
2 1 1 4
Cartesian
0.0000 0.0000 0.0000
2.3185 -2.1225 2.4773
4.4444 -0.1511 0.0000
2.3185 2.1548 2.4773
0.8030 0.8947 3.0576
-1.4426 -1.5713 4.4565
3.8340 0.8947 1.8969
6.0795 -1.5713 0.4981
```

Most intense lines, 10 to 90 degrees two-theta, by angle:
- 26.43 deg, I 37
- 27.50 deg, I 100
- 28.94 deg, I 70
- 36.26 deg, I 19
- 46.38 deg, I 18
- 47.70 deg, I 16
- 49.13 deg, I 15
- 50.41 deg, I 28
- 51.05 deg, I 14
- 60.00 deg, I 17